(1)
The following is a theoretical X-ray powder pattern of ZnTeNO. It was derived from a cell relaxed with GGA-PBE, using a wavelength of 1.5418 Å.
Lines closer than 0.1° are merged.

Main lines, in order of rising 2θ (10 to 80 degrees two-theta):
| two_theta | d [Å] | intensity | hkl |
| --- | --- | --- | --- |
| 25.1 | 3.542 | 32 | 1 1 1 |
| 31.8 | 2.811 | 100 | 0 0 2 |
| 32.2 | 2.778 | 22 | 2 0 0 |
| 33.5 | 2.674 | 12 | 0 3 0 |
| 46.0 | 1.974 | 13 | 2 0 2 |
| 56.8 | 1.621 | 10 | 1 2 3 |
| 57.2 | 1.611 | 10 | 3 2 1 |
| 62.5 | 1.486 | 10 | 1 5 1 |

```
data_ZnTeNO
_chemical_formula_sum 'Zn4 Te4 N4 O4'
_cell_length_a 5.5560
_cell_length_b 8.0211
_cell_length_c 5.6099
_cell_angle_alpha 90.00
_cell_angle_beta 90.00
_cell_angle_gamma 90.00
_symmetry_space_group_name_H-M 'P c a 21'
_symmetry_Int_Tables_number 29
_symmetry_space_group_name_Hall 'P 2c -2ac'
loop_
_atom_site_label
_atom_site_fract_x
_atom_site_fract_y
_atom_site_fract_z
Zn1 0.0651 0.0830 0.0000
Te1 0.0201 0.6643 0.0755
N1 0.1064 0.1107 0.6409
O1 0.1408 0.7093 0.5923
```

---

(2)
The following is a theoretical X-ray powder pattern of Tm4N3O. It was derived from a cell relaxed with GGA-PBE, using a wavelength of 1.5418 Å.
Lines closer than 0.1° are merged.

Main lines, in order of rising 2θ (10 to 80 degrees two-theta):
| two_theta | d [Å] | intensity | hkl |
| --- | --- | --- | --- |
| 32.6 | 2.748 | 100 | 1 1 1 |
| 37.8 | 2.380 | 71 | 2 0 0 |
| 54.5 | 1.683 | 48 | 2 2 0 |
| 65.0 | 1.435 | 44 | 3 1 1 |
| 68.3 | 1.374 | 16 | 2 2 2 |

```
data_Tm4N3O
_chemical_formula_sum 'Tm4 N3 O1'
_cell_length_a 4.7603
_cell_length_b 4.7603
_cell_length_c 4.7603
_cell_angle_alpha 90.00
_cell_angle_beta 90.00
_cell_angle_gamma 90.00
_symmetry_space_group_name_H-M 'P m -3 m'
_symmetry_Int_Tables_number 221
_symmetry_space_group_name_Hall '-P 4 2 3'
loop_
_atom_site_label
_atom_site_fract_x
_atom_site_fract_y
_atom_site_fract_z
Tm1 0.0000 0.0000 0.0000
Tm2 0.0000 0.5000 0.5000
N1 0.0000 0.0000 0.5000
O1 0.5000 0.5000 0.5000
```

---

(3)
The following is a theoretical X-ray powder pattern of TmZnNO. It was derived from a cell relaxed with GGA-PBE, using a wavelength of 1.5418 Å.
Lines closer than 0.1° are merged.

Main lines, in order of rising 2θ (10 to 80 degrees two-theta):
| two_theta | d [Å] | intensity | hkl |
| --- | --- | --- | --- |
| 26.7 | 3.341 | 29 | 1 1 1 |
| 27.9 | 3.200 | 19 | 1 2 0 |
| 31.1 | 2.877 | 33 | 2 0 0 |
| 33.6 | 2.671 | 100 | 1 2 1 |
| 36.3 | 2.474 | 17 | 2 0 1 |
| 37.1 | 2.425 | 35 | 0 0 2 |
| 49.1 | 1.854 | 17 | 2 0 2 |
| 53.4 | 1.717 | 17 | 3 2 0 |

```
data_TmZnNO
_chemical_formula_sum 'Tm4 Zn4 N4 O4'
_cell_length_a 5.7545
_cell_length_b 7.6988
_cell_length_c 4.8494
_cell_angle_alpha 90.00
_cell_angle_beta 90.00
_cell_angle_gamma 90.00
_symmetry_space_group_name_H-M 'P c a 21'
_symmetry_Int_Tables_number 29
_symmetry_space_group_name_Hall 'P 2c -2ac'
loop_
_atom_site_label
_atom_site_fract_x
_atom_site_fract_y
_atom_site_fract_z
Tm1 0.0507 0.1450 0.0000
Zn1 0.0629 0.6217 0.9800
N1 0.0624 0.1367 0.5131
O1 0.0959 0.5989 0.5549
```

---

(4)
The following is a theoretical X-ray powder pattern of Os3N5. It was derived from a cell relaxed with GGA-PBE, using a wavelength of 1.5418 Å.
Lines closer than 0.1° are merged.

Main lines, in order of rising 2θ (10 to 80 degrees two-theta):
| two_theta | d [Å] | intensity | hkl |
| --- | --- | --- | --- |
| 24.4 | 3.646 | 40 | 0 2 2 |
| 25.7 | 3.460 | 88 | 1 1 0 |
| 31.3 | 2.860 | 83 | 0 2 3 |
| 36.9 | 2.438 | 100 | 1 1 3 |
| 39.1 | 2.306 | 26 | 0 4 2 |
| 49.6 | 1.836 | 22 | 2 0 0 |
| 54.0 | 1.698 | 37 | 1 5 2 |
| 59.9 | 1.545 | 27 | 2 2 3 |

```
data_Os3N5
_chemical_formula_sum 'Os12 N20'
_cell_length_a 3.6727
_cell_length_b 10.3168
_cell_length_c 10.3095
_cell_angle_alpha 90.00
_cell_angle_beta 90.00
_cell_angle_gamma 90.00
_symmetry_space_group_name_H-M 'C m c m'
_symmetry_Int_Tables_number 63
_symmetry_space_group_name_Hall '-C 2c 2'
loop_
_atom_site_label
_atom_site_fract_x
_atom_site_fract_y
_atom_site_fract_z
Os1 0.0000 0.1012 0.0772
Os2 0.0000 0.2047 0.7500
N1 0.0000 0.0786 0.6143
N2 0.0000 0.2136 0.2500
N3 0.0000 0.3440 0.6027
```